[1]
Calculated powder diffraction line list
Compound: Li4MnNi5O12
Radiation: Cu Kα (λ = 1.5418 Å)
Structure: a crystal structure in the Materials Project, relaxed with GGA+U
Intensities are scaled so that the largest is 100.

Cell and atoms:
Cell lengths 4.9384, 4.9384, 10.0052 Å; angles 90.97, 90.97, 118.52 degrees
Fractional coordinates of all 22 atoms:
Li1 0.1035 0.1035 0.2510
Li2 0.3877 0.4026 0.7497
Li3 0.5974 0.6123 0.2503
Li4 0.8965 0.8965 0.7490
Mn1 0.2462 0.7538 0.5000
Ni1 0.0794 0.9206 0.0000
Ni2 0.4087 0.5913 0.0000
Ni3 0.5812 0.4188 0.5000
Ni4 0.7471 0.2529 0.0000
Ni5 0.9115 0.0885 0.5000
O1 0.0696 0.2180 0.8917
O2 0.0786 0.5916 0.0941
O3 0.2226 0.0699 0.6075
O4 0.2706 0.4377 0.3921
O5 0.3997 0.2604 0.1017
O6 0.4084 0.9215 0.9059
O7 0.5623 0.7294 0.6079
O8 0.5729 0.0804 0.4032
O9 0.7396 0.6003 0.8983
O10 0.7820 0.9304 0.1083
O11 0.9196 0.4271 0.5968
O12 0.9301 0.7774 0.3925

Peak list (10 most intense, 10° ≤ 2θ ≤ 80°, in order of rising 2θ)
2theta	I_rel
17.7	100
35.6	9
37.4	15
37.7	14
39.5	9
40.6	11
45.4	17
46.1	16
59.0	9
60.0	8

[2]
Calculated powder diffraction line list
Compound: LaMn3V4O12
Radiation: Cu Kα (λ = 1.5418 Å)
Structure: a crystal structure in the Materials Project, relaxed with GGA+U
Intensities are scaled so that the largest is 100.

Cell and atoms:
Cell lengths 6.6762, 6.6762, 6.6762 Å; angles 109.47, 109.47, 109.47 degrees
Fractional coordinates of all 20 atoms:
La1 0.0000 0.0000 0.0000
Mn1 0.0000 0.5000 0.5000
Mn2 0.5000 0.0000 0.5000
Mn3 0.5000 0.5000 0.0000
V1 0.0000 0.0000 0.5000
V2 0.0000 0.5000 0.0000
V3 0.5000 0.0000 0.0000
V4 0.5000 0.5000 0.5000
O1 0.0000 0.2508 0.7492
O2 0.0000 0.7492 0.2508
O3 0.2508 0.0000 0.7492
O4 0.2508 0.2508 0.5016
O5 0.2508 0.5016 0.2508
O6 0.2508 0.7492 0.0000
O7 0.4984 0.7492 0.7492
O8 0.5016 0.2508 0.2508
O9 0.7492 0.0000 0.2508
O10 0.7492 0.2508 0.0000
O11 0.7492 0.4984 0.7492
O12 0.7492 0.7492 0.4984

Peak list (10 most intense, 10° ≤ 2θ ≤ 80°, in order of rising 2θ)
2theta	I_rel
16.3	17
28.4	10
32.9	100
36.9	5
40.5	17
43.9	6
47.2	43
58.7	36
68.9	23
78.5	15